This entry pairs a crystal structure of Na6Ta3GaSi6O24 with its computed powder X-ray diffraction pattern. Radiation: Cu Kα. Structure: a GGA-PBE-relaxed structure.
Kinematic intensities with the Lorentz-polarization factor, no thermal factor.

Structure:
```
data_Na6Ta3GaSi6O24
_chemical_formula_sum 'Na6 Ta3 Ga1 Si6 O24'
_symmetry_space_group_name_H-M 'P 1'
_symmetry_Int_Tables_number 1
_cell_length_a 9.008
_cell_length_b 9.022
_cell_length_c 9.023
_cell_angle_alpha 119.72
_cell_angle_beta 90.67
_cell_angle_gamma 119.43
loop_
_symmetry_equiv_pos_as_xyz
'x,y,z'
loop_
_atom_site_label
_atom_site_fract_x
_atom_site_fract_y
_atom_site_fract_z
Na1 0.000 0.000 0.000
Na2 0.035 0.385 0.673
Na3 0.278 0.869 0.762
Na4 0.557 0.386 0.850
Na5 0.603 0.745 0.532
Na6 0.796 0.881 0.269
Ta1 0.230 0.168 0.411
Ta2 0.362 0.592 0.127
Ta3 0.725 0.170 0.915
Ga1 0.865 0.590 0.620
Si1 0.042 0.674 0.021
Si2 0.047 0.085 0.725
Si3 0.047 0.390 0.318
Si4 0.549 0.675 0.811
Si5 0.552 0.380 0.232
Si6 0.557 0.095 0.514
O1 0.040 0.689 0.849
O2 0.040 0.900 0.717
O3 0.043 0.547 0.507
O4 0.053 0.873 0.194
O5 0.055 0.215 0.327
O6 0.057 0.089 0.545
O7 0.215 0.664 0.061
O8 0.225 0.307 0.902
O9 0.226 0.515 0.272
O10 0.367 0.241 0.264
O11 0.368 0.458 0.633
O12 0.379 0.102 0.483
O13 0.531 0.678 0.994
O14 0.532 0.537 0.201
O15 0.537 0.886 0.348
O16 0.557 0.867 0.825
O17 0.558 0.080 0.690
O18 0.558 0.220 0.039
O19 0.724 0.535 0.414
O20 0.728 0.679 0.784
O21 0.740 0.305 0.563
O22 0.862 0.456 0.977
O23 0.868 0.089 0.764
O24 0.875 0.245 0.129
```

Top 8 peaks for 15° ≤ 2θ ≤ 90°, sorted by position:
two_theta  Rel. int.  (hkl)
19.6  58  1 1 -1
19.7  100  0 1 -2
27.8  24  2 0 -2
31.1  19  2 1 -2
31.2  20  1 1 1
34.3  30  1 0 -3
34.3  18  2 -3 0
34.5  22  1 -3 3